Structure and simulated X-ray diffraction stick pattern of Ac3Te2H2 (the PBE geometry in Alexandria; a wavelength of 1.5418 Å).
Kinematic intensities with the Lorentz-polarization factor, no thermal factor.

Atomic structure:
Cell: 4.449 4.911 9.670 Å, 75.30 76.76 89.96°
Element x y z (fractional)
Ac 0.000 0.000 0.000
Ac 0.369 0.369 0.262
Ac 0.631 0.631 0.738
Te 0.179 0.179 0.641
Te 0.821 0.821 0.359
H 0.500 0.256 0.000
H 0.500 0.744 0.000

Top 12 peaks for 10° ≤ 2θ ≤ 90°, by angle:
| 2θ (°) | intensity |
| --- | --- |
| 23.3 | 18 |
| 24.8 | 15 |
| 27.0 | 100 |
| 29.5 | 14 |
| 30.6 | 39 |
| 31.8 | 35 |
| 36.6 | 23 |
| 40.4 | 24 |
| 40.6 | 17 |
| 49.2 | 21 |
| 51.6 | 19 |
| 55.8 | 14 |


Structure and simulated X-ray diffraction stick pattern of Ac3ThH8 (the PBE geometry in Alexandria; a wavelength of 1.5418 Å).
Kinematic intensities with the Lorentz-polarization factor, no thermal factor.

Atomic structure:
Cell: 5.768 5.768 5.768 Å, 90.00 90.00 90.00°
Element x y z (fractional)
Ac 0.000 0.000 0.500
Ac 0.000 0.500 0.000
Ac 0.500 0.000 0.000
Th 0.500 0.500 0.500
H 0.264 0.264 0.264
H 0.264 0.264 0.736
H 0.264 0.736 0.264
H 0.264 0.736 0.736
H 0.736 0.264 0.264
H 0.736 0.264 0.736
H 0.736 0.736 0.264
H 0.736 0.736 0.736

Top 10 peaks for 10° ≤ 2θ ≤ 90°, by angle:
| 2θ (°) | intensity |
| --- | --- |
| 26.8 | 100 |
| 31.0 | 50 |
| 44.4 | 40 |
| 52.6 | 49 |
| 55.2 | 14 |
| 64.6 | 7 |
| 71.3 | 20 |
| 73.4 | 18 |
| 81.8 | 14 |
| 88.0 | 16 |


Structure and simulated X-ray diffraction stick pattern of Ac2ThH8 (the PBE geometry in Alexandria; a wavelength of 1.5418 Å).
Kinematic intensities with the Lorentz-polarization factor, no thermal factor.

Atomic structure:
Cell: 6.848 6.848 6.848 Å, 147.37 127.28 63.39°
Element x y z (fractional)
Ac 0.165 0.165 0.000
Ac 0.835 0.835 0.000
Th 0.500 0.500 0.000
H 0.101 0.342 0.759
H 0.262 0.000 0.262
H 0.349 0.849 0.500
H 0.417 0.658 0.759
H 0.583 0.342 0.241
H 0.651 0.151 0.500
H 0.738 0.000 0.738
H 0.899 0.658 0.241

Top 12 peaks for 10° ≤ 2θ ≤ 90°, by angle:
| 2θ (°) | intensity |
| --- | --- |
| 27.2 | 100 |
| 27.4 | 98 |
| 29.4 | 41 |
| 32.8 | 62 |
| 44.6 | 57 |
| 50.8 | 19 |
| 50.9 | 19 |
| 55.1 | 30 |
| 55.4 | 29 |
| 56.2 | 14 |
| 70.9 | 14 |
| 71.6 | 14 |


Structure and simulated X-ray diffraction stick pattern of AcThH (the PBE geometry in Alexandria; a wavelength of 1.5418 Å).
Kinematic intensities with the Lorentz-polarization factor, no thermal factor.

Atomic structure:
Cell: 3.789 3.789 6.223 Å, 90.00 90.00 120.00°
Element x y z (fractional)
Ac 0.000 0.000 0.000
Th 0.667 0.333 0.502
H 0.333 0.667 0.703

Top 12 peaks for 10° ≤ 2θ ≤ 90°, by angle:
| 2θ (°) | intensity |
| --- | --- |
| 27.2 | 22 |
| 28.7 | 26 |
| 30.8 | 100 |
| 39.9 | 17 |
| 48.0 | 20 |
| 52.2 | 24 |
| 56.9 | 24 |
| 58.1 | 17 |
| 73.6 | 9 |
| 78.7 | 15 |
| 79.8 | 9 |
| 83.0 | 6 |


Structure and simulated X-ray diffraction stick pattern of Ac5Tl2H (the PBE geometry in Alexandria; a wavelength of 1.5418 Å).
Kinematic intensities with the Lorentz-polarization factor, no thermal factor.

Atomic structure:
Cell: 7.317 7.317 7.317 Å, 116.41 116.41 96.34°
Element x y z (fractional)
Ac 0.000 0.000 0.000
Ac 0.495 0.495 0.498
Ac 0.495 0.997 0.000
Ac 0.997 0.495 0.000
Ac 0.997 0.997 0.502
Tl 0.498 0.998 0.500
Tl 0.998 0.498 0.500
H 0.257 0.257 0.000

Top 12 peaks for 10° ≤ 2θ ≤ 90°, by angle:
| 2θ (°) | intensity |
| --- | --- |
| 14.6 | 11 |
| 29.5 | 100 |
| 32.9 | 38 |
| 36.8 | 15 |
| 47.1 | 14 |
| 50.2 | 24 |
| 56.6 | 34 |
| 61.3 | 13 |
| 61.9 | 13 |
| 78.4 | 8 |
| 81.3 | 12 |
| 90.0 | 10 |


Structure and simulated X-ray diffraction stick pattern of Ac2TlH3 (the PBE geometry in Alexandria; a wavelength of 1.5418 Å).
Kinematic intensities with the Lorentz-polarization factor, no thermal factor.

Atomic structure:
Cell: 8.358 8.358 8.390 Å, 111.45 111.45 28.49°
Element x y z (fractional)
Ac 0.031 0.031 0.286
Ac 0.295 0.295 0.315
Ac 0.705 0.705 0.685
Ac 0.969 0.969 0.714
Tl 0.383 0.383 0.968
Tl 0.617 0.617 0.032
H 0.099 0.099 0.623
H 0.196 0.196 0.489
H 0.429 0.429 0.561
H 0.571 0.571 0.439
H 0.804 0.804 0.511
H 0.901 0.901 0.377

Top 12 peaks for 10° ≤ 2θ ≤ 90°, by angle:
| 2θ (°) | intensity |
| --- | --- |
| 26.1 | 94 |
| 26.2 | 78 |
| 28.1 | 100 |
| 30.1 | 71 |
| 30.6 | 97 |
| 34.6 | 38 |
| 35.3 | 53 |
| 44.0 | 29 |
| 45.3 | 23 |
| 50.5 | 44 |
| 51.9 | 30 |
| 54.3 | 28 |


Structure and simulated X-ray diffraction stick pattern of AcTmH (the PBE geometry in Alexandria; a wavelength of 1.5418 Å).
Kinematic intensities with the Lorentz-polarization factor, no thermal factor.

Atomic structure:
Cell: 6.980 5.718 7.676 Å, 90.00 90.01 90.00°
Element x y z (fractional)
Ac 0.180 0.250 0.250
Ac 0.180 0.250 0.750
Ac 0.820 0.750 0.250
Ac 0.820 0.750 0.750
Tm 0.359 0.750 0.000
Tm 0.359 0.750 0.500
Tm 0.641 0.250 0.000
Tm 0.641 0.250 0.500
H 0.192 0.749 0.250
H 0.192 0.751 0.750
H 0.808 0.249 0.250
H 0.808 0.251 0.750

Top 12 peaks for 10° ≤ 2θ ≤ 90°, by angle:
| 2θ (°) | intensity |
| --- | --- |
| 25.5 | 12 |
| 26.5 | 27 |
| 30.0 | 55 |
| 30.8 | 100 |
| 31.3 | 34 |
| 41.5 | 17 |
| 45.6 | 21 |
| 47.4 | 14 |
| 55.4 | 20 |
| 56.3 | 23 |
| 57.1 | 19 |
| 57.9 | 12 |